# Rb2GeS3
Calculated powder X-ray diffraction pattern, a wavelength of 1.5418 Å. Input: a cell relaxed with PBE.
Lines closer than 0.1° are merged.

Cell and atoms:
Lattice parameters (Å, degrees): 7.869 7.869 15.774 90.00 90.00 127.99
Sites, in units of the cell vectors:
Rb 0.055 0.444 0.146
Rb 0.142 0.358 0.565
Rb 0.358 0.142 0.065
Rb 0.444 0.055 0.646
Rb 0.556 0.945 0.354
Rb 0.642 0.858 0.935
Rb 0.858 0.642 0.435
Rb 0.945 0.556 0.854
Ge 0.250 0.251 0.831
Ge 0.251 0.250 0.331
Ge 0.749 0.750 0.669
Ge 0.750 0.749 0.169
S 0.066 0.934 0.250
S 0.099 0.402 0.350
S 0.159 0.341 0.944
S 0.341 0.159 0.444
S 0.402 0.099 0.850
S 0.433 0.567 0.750
S 0.567 0.433 0.250
S 0.598 0.901 0.150
S 0.659 0.841 0.556
S 0.841 0.659 0.056
S 0.901 0.598 0.650
S 0.934 0.066 0.750

Principal peaks in the range 2θ from 10° to 90°, low angle first:
| 2θ (°) | d_spacing | Rel. int. |
| --- | --- | --- |
| 25.5 | 3.491 | 544 |
| 25.8 | 3.450 | 1000 |
| 26.8 | 3.328 | 302 |
| 31.0 | 2.881 | 472 |
| 34.5 | 2.597 | 204 |
| 40.8 | 2.211 | 248 |